(1)
Simulated PXRD pattern of Ca2Mg3Cu for λ = 1.5418 Å (Cu Kα), from a cell relaxed with PBE.

Crystal structure
Cell: 5.912 5.912 5.912 Å, 61.63 61.63 61.63°
Atoms (fractional coordinates):
Ca1 0.126 0.126 0.126
Ca2 0.874 0.874 0.874
Mg1 0.000 0.500 0.500
Mg2 0.500 0.000 0.500
Mg3 0.500 0.500 0.000
Cu1 0.500 0.500 0.500

Largest 10 diffraction maxima, low angle first, 2θ = 5–70°:
2θ (°)	I_rel
21.0	13
29.5	54
35.1	100
35.8	45
36.5	39
37.7	13
56.0	24
56.5	22
61.2	19
62.9	18

=====

(2)
Simulated PXRD pattern of CaMg3Cu8 for λ = 1.5418 Å (Cu Kα), from a cell relaxed with PBE.

Crystal structure
Cell: 8.744 8.744 8.744 Å, 33.67 33.67 33.67°
Atoms (fractional coordinates):
Ca1 0.000 0.000 0.000
Mg1 0.129 0.129 0.129
Mg2 0.499 0.499 0.499
Mg3 0.618 0.618 0.618
Cu1 0.062 0.062 0.558
Cu2 0.062 0.558 0.062
Cu3 0.066 0.564 0.564
Cu4 0.312 0.312 0.312
Cu5 0.558 0.062 0.062
Cu6 0.564 0.066 0.564
Cu7 0.564 0.564 0.066
Cu8 0.813 0.813 0.813

Largest 10 diffraction maxima, low angle first, 2θ = 5–70°:
2θ (°)	I_rel
21.5	73
35.5	11
41.9	100
42.0	33
43.8	69
44.0	22
51.1	26
56.0	12
68.1	28
68.2	7

=====

(3)
Simulated PXRD pattern of Ca2Mg2Cu for λ = 1.5418 Å (Cu Kα), from a cell relaxed with PBE.

Crystal structure
Cell: 8.186 8.186 8.186 Å, 129.56 66.90 139.07°
Atoms (fractional coordinates):
Ca1 0.097 0.173 0.271
Ca2 0.403 0.673 0.076
Ca3 0.597 0.327 0.924
Ca4 0.903 0.827 0.729
Mg1 0.162 0.628 0.791
Mg2 0.338 0.128 0.466
Mg3 0.662 0.872 0.534
Mg4 0.838 0.372 0.209
Cu1 0.250 0.750 0.500
Cu2 0.750 0.250 0.500

Largest 10 diffraction maxima, low angle first, 2θ = 5–70°:
2θ (°)	I_rel
13.0	100
14.3	86
30.7	64
33.1	45
34.5	45
35.3	46
36.8	32
39.3	72
41.1	54
61.6	30

=====

(4)
Simulated PXRD pattern of Ca2Mg2Cu for λ = 1.5418 Å (Cu Kα), from a cell relaxed with PBE.

Crystal structure
Cell: 6.599 3.510 11.879 Å, 90.00 91.33 90.00°
Atoms (fractional coordinates):
Ca1 0.129 0.250 0.367
Ca2 0.249 0.250 0.077
Ca3 0.751 0.750 0.923
Ca4 0.871 0.750 0.633
Mg1 0.267 0.750 0.828
Mg2 0.375 0.750 0.581
Mg3 0.625 0.250 0.419
Mg4 0.733 0.250 0.172
Cu1 0.452 0.750 0.264
Cu2 0.548 0.250 0.736

Largest 10 diffraction maxima, low angle first, 2θ = 5–70°:
2θ (°)	I_rel
13.4	62
14.9	36
29.9	57
30.7	38
33.4	65
34.1	100
35.0	28
36.6	44
37.4	40
38.3	67

=====

(5)
Simulated PXRD pattern of Ca4Mg8Cu for λ = 1.5418 Å (Cu Kα), from a cell relaxed with PBE.

Crystal structure
Cell: 10.356 10.356 10.356 Å, 91.54 91.54 161.14°
Atoms (fractional coordinates):
Ca1 0.053 0.172 0.225
Ca2 0.172 0.947 0.120
Ca3 0.828 0.053 0.880
Ca4 0.947 0.828 0.775
Mg1 0.125 0.495 0.621
Mg2 0.168 0.707 0.875
Mg3 0.293 0.168 0.461
Mg4 0.495 0.875 0.370
Mg5 0.505 0.125 0.630
Mg6 0.707 0.832 0.539
Mg7 0.832 0.293 0.125
Mg8 0.875 0.505 0.379
Cu1 0.500 0.500 0.000

Largest 10 diffraction maxima, low angle first, 2θ = 5–70°:
2θ (°)	I_rel
8.7	69
12.3	47
27.6	58
31.6	57
32.3	86
34.6	100
36.3	89
36.9	94
41.0	55
58.2	46

=====

(6)
Simulated PXRD pattern of CaMg14CuO16 for λ = 1.5418 Å (Cu Kα), from a cell relaxed with PBE.

Crystal structure
Cell: 8.587 8.587 4.325 Å, 90.00 90.00 90.00°
Atoms (fractional coordinates):
Ca1 0.000 0.000 0.000
Mg1 0.000 0.256 0.500
Mg2 0.000 0.500 0.000
Mg3 0.000 0.744 0.500
Mg4 0.252 0.500 0.500
Mg5 0.254 0.254 0.000
Mg6 0.254 0.746 0.000
Mg7 0.256 0.000 0.500
Mg8 0.500 0.000 0.000
Mg9 0.500 0.252 0.500
Mg10 0.500 0.748 0.500
Mg11 0.744 0.000 0.500
Mg12 0.746 0.254 0.000
Mg13 0.746 0.746 0.000
Mg14 0.748 0.500 0.500
Cu1 0.500 0.500 0.000
O1 0.000 0.000 0.500
O2 0.000 0.264 0.000
O3 0.000 0.500 0.500
O4 0.000 0.736 0.000
O5 0.250 0.500 0.000
O6 0.251 0.251 0.500
O7 0.251 0.749 0.500
O8 0.264 0.000 0.000
O9 0.500 0.000 0.500
O10 0.500 0.250 0.000
O11 0.500 0.500 0.500
O12 0.500 0.750 0.000
O13 0.736 0.000 0.000
O14 0.749 0.251 0.500
O15 0.749 0.749 0.500
O16 0.750 0.500 0.000

Largest 10 diffraction maxima, low angle first, 2θ = 5–70°:
2θ (°)	I_rel
10.3	6
14.6	7
20.7	5
25.3	5
29.3	4
36.1	26
41.8	52
42.1	100
60.8	57
61.0	28

=====

> What is the formula in the first record?

Ca2Mg3Cu